Starting from a cell relaxed with PBE, the XRD peak list of Na4GaSi2SnPO12 was simulated for Cu Kα (λ = 1.5418 Å).

Structural model:
a = 9.012 Å, b = 9.012 Å, c = 9.075 Å
α = 119.68°, β = 119.68°, γ = 60.26°
Atoms (fractional coordinates):
Na 0.060 0.940 0.500
Na 0.198 0.434 0.993
Na 0.313 0.820 0.244
Na 0.434 0.198 0.493
Na 0.564 0.706 0.001
Na 0.706 0.564 0.501
Na 0.820 0.313 0.744
Na 0.940 0.060 0.000
Ga 0.155 0.677 0.803
Ga 0.677 0.155 0.303
Si 0.065 0.279 0.505
Si 0.279 0.065 0.005
Si 0.777 0.863 0.503
Si 0.863 0.777 0.003
Sn 0.466 0.967 0.698
Sn 0.967 0.466 0.198
P 0.362 0.566 0.505
P 0.566 0.362 0.005
O 0.048 0.749 0.986
O 0.052 0.293 0.323
O 0.090 0.243 0.016
O 0.093 0.458 0.680
O 0.191 0.550 0.333
O 0.243 0.090 0.516
O 0.256 0.884 0.982
O 0.293 0.052 0.823
O 0.334 0.589 0.671
O 0.381 0.735 0.516
O 0.401 0.534 0.983
O 0.458 0.093 0.180
O 0.534 0.401 0.483
O 0.550 0.191 0.833
O 0.589 0.334 0.171
O 0.590 0.883 0.517
O 0.681 0.792 0.823
O 0.735 0.381 0.016
O 0.749 0.048 0.486
O 0.792 0.681 0.323
O 0.837 0.957 0.177
O 0.883 0.590 0.017
O 0.884 0.256 0.482
O 0.957 0.837 0.677

The 10 most intense peaks (2θ from 10° to 90°), sorted by position:
13.8 deg, rel. 26
19.6 deg, rel. 85
19.7 deg, rel. 36
27.9 deg, rel. 35
31.2 deg, rel. 100
34.4 deg, rel. 44
34.5 deg, rel. 18
44.7 deg, rel. 12
47.2 deg, rel. 27
51.3 deg, rel. 19

***

Starting from a cell relaxed with PBE, the XRD peak list of Na3GaSiSnP2O12 was simulated for Cu Kα (λ = 1.5418 Å).

Structural model:
a = 8.911 Å, b = 8.911 Å, c = 8.929 Å
α = 119.71°, β = 119.71°, γ = 59.98°
Atoms (fractional coordinates):
Na 0.068 0.932 0.500
Na 0.208 0.431 0.980
Na 0.340 0.791 0.214
Na 0.431 0.208 0.480
Na 0.791 0.340 0.714
Na 0.932 0.068 0.000
Ga 0.179 0.661 0.781
Ga 0.661 0.179 0.281
Si 0.359 0.561 0.467
Si 0.561 0.359 0.967
Sn 0.468 0.956 0.662
Sn 0.956 0.468 0.162
P 0.058 0.275 0.478
P 0.275 0.058 0.978
P 0.772 0.861 0.475
P 0.861 0.772 0.975
O 0.027 0.299 0.301
O 0.037 0.756 0.965
O 0.093 0.229 0.980
O 0.097 0.437 0.651
O 0.185 0.530 0.275
O 0.229 0.093 0.480
O 0.235 0.901 0.963
O 0.299 0.027 0.801
O 0.304 0.597 0.632
O 0.374 0.745 0.478
O 0.381 0.543 0.957
O 0.437 0.097 0.151
O 0.530 0.185 0.775
O 0.543 0.381 0.457
O 0.582 0.891 0.472
O 0.597 0.304 0.132
O 0.697 0.796 0.799
O 0.745 0.374 0.978
O 0.756 0.037 0.465
O 0.796 0.697 0.299
O 0.828 0.934 0.149
O 0.891 0.582 0.972
O 0.901 0.235 0.463
O 0.934 0.828 0.649

The 10 most intense peaks (2θ from 10° to 90°), sorted by position:
14.0 deg, rel. 38
19.8 deg, rel. 100
19.9 deg, rel. 91
23.4 deg, rel. 48
28.3 deg, rel. 37
31.6 deg, rel. 80
31.7 deg, rel. 45
34.9 deg, rel. 82
45.4 deg, rel. 24
47.8 deg, rel. 36